Ca2Sn3O8: computed X-ray powder pattern (copper Kα), based on a DFT-relaxed cell (GGA-PBE, the Materials Project).
Intensities are scaled so that the largest is 100.

Structural model:
Unit cell a=6.4834 b=6.4834 c=10.5326 alpha=90.00 beta=90.00 gamma=120.00
Space group P6_3mc (No. 186)
Symmetry-distinct sites (fractional):
Ca 0.3333 0.6667 0.0000
Ca 0.3333 0.6667 0.3780
Sn 0.1647 0.3294 0.7149
O 0.0000 0.0000 0.3195
O 0.0483 0.5241 0.8258
O 0.1630 0.3260 0.1233
O 0.3333 0.6667 0.6047

Largest 10 diffraction maxima, most intense first, 15 to 90 degrees two-theta:
d (Å), 2theta, Rel. int.
5.266, 16.84, 100
2.713, 33.02, 86
2.193, 41.17, 44
1.685, 54.46, 41
2.761, 32.43, 35
1.621, 56.80, 32
2.977, 30.02, 30
4.955, 17.90, 30
3.841, 23.16, 24
2.477, 36.26, 23

MnSn: computed X-ray powder pattern (copper Kα), based on a DFT-relaxed cell (GGA-PBE, the Materials Project).
Intensities are scaled so that the largest is 100.

Structural model:
Unit cell a=4.0688 b=4.0688 c=5.5509 alpha=90.00 beta=90.00 gamma=120.00
Space group P6_3/mmc (No. 194)
Symmetry-distinct sites (fractional):
Mn 0.0000 0.0000 0.0000
Sn 0.3333 0.6667 0.2500

Largest 10 diffraction maxima, most intense first, 15 to 90 degrees two-theta:
d (Å), 2theta, Rel. int.
2.975, 30.04, 100
2.180, 41.41, 52
2.034, 44.54, 49
1.639, 56.12, 26
1.679, 54.66, 19
1.295, 73.06, 17
1.146, 84.52, 16
1.487, 62.43, 15
1.201, 79.89, 15
1.175, 82.04, 8

TbSBr: computed X-ray powder pattern (copper Kα), based on a DFT-relaxed cell (GGA-PBE, the Materials Project).
Intensities are scaled so that the largest is 100.

Structural model:
Unit cell a=6.8180 b=6.9181 c=6.7999 alpha=90.00 beta=99.25 gamma=90.00
Space group P2_1/c (No. 14)
Symmetry-distinct sites (fractional):
Tb 0.1801 0.0353 0.2899
S 0.0541 0.7398 0.5079
Br 0.4157 0.1161 0.7122

Largest 10 diffraction maxima, most intense first, 15 to 90 degrees two-theta:
d (Å), 2theta, Rel. int.
2.921, 30.61, 100
4.150, 21.41, 72
3.356, 26.56, 66
2.410, 37.32, 66
2.619, 34.23, 65
3.719, 23.93, 59
4.820, 18.41, 47
2.878, 31.08, 41
2.356, 38.20, 40
1.938, 46.88, 32

PbS2: computed X-ray powder pattern (copper Kα), based on a DFT-relaxed cell (GGA-PBE, the Materials Project).
Intensities are scaled so that the largest is 100.

Structural model:
Unit cell a=6.1759 b=6.1759 c=7.6377 alpha=90.00 beta=90.00 gamma=90.00
Space group I4/mcm (No. 140)
Symmetry-distinct sites (fractional):
Pb 0.0000 0.0000 0.2500
S 0.1194 0.3806 0.0000

Largest 10 diffraction maxima, most intense first, 15 to 90 degrees two-theta:
d (Å), 2theta, Rel. int.
2.875, 31.11, 100
4.367, 20.34, 66
3.088, 28.91, 45
2.401, 37.45, 43
1.953, 46.50, 32
1.739, 52.64, 26
1.896, 48.00, 22
1.365, 68.76, 20
2.184, 41.35, 17
3.819, 23.29, 15

SbO2: computed X-ray powder pattern (copper Kα), based on a DFT-relaxed cell (GGA-PBE, the Materials Project).
Intensities are scaled so that the largest is 100.

Structural model:
Unit cell a=6.0731 b=7.9261 c=8.7531 alpha=83.98 beta=89.71 gamma=89.38
Space group P-1 (No. 2)
Symmetry-distinct sites (fractional):
Sb 0.0009 0.2986 0.4430
Sb 0.0033 0.1643 0.8921
Sb 0.4974 0.8205 0.7289
Sb 0.4985 0.6859 0.2301
O 0.9996 0.2414 0.6694
O 0.0056 0.0821 0.1213
O 0.2541 0.8471 0.5846
O 0.2578 0.1502 0.4139
O 0.2594 0.2983 0.9267
O 0.2618 0.7078 0.0707
O 0.4890 0.0274 0.8198
O 0.4964 0.4164 0.2158

Largest 10 diffraction maxima, most intense first, 15 to 90 degrees two-theta:
d (Å), 2theta, Rel. int.
3.538, 25.17, 100
3.036, 29.42, 58
3.941, 22.56, 57
3.991, 22.27, 31
3.652, 24.38, 30
3.169, 28.16, 25
3.201, 27.87, 25
4.353, 20.40, 21
1.878, 48.48, 18
1.937, 46.91, 16

Cs3TlF6: computed X-ray powder pattern (copper Kα), based on a DFT-relaxed cell (GGA-PBE, the Materials Project).
Intensities are scaled so that the largest is 100.

Structural model:
Unit cell a=10.0255 b=10.0255 c=10.0255 alpha=90.00 beta=90.00 gamma=90.00
Space group Fm-3m (No. 225)
Symmetry-distinct sites (fractional):
Cs 0.0000 0.0000 0.0000
Cs 0.2500 0.2500 0.2500
Tl 0.0000 0.0000 0.5000
F 0.0000 0.0000 0.2802

Largest 10 diffraction maxima, most intense first, 15 to 90 degrees two-theta:
d (Å), 2theta, Rel. int.
3.545, 25.12, 100
2.046, 44.26, 42
2.506, 35.83, 31
1.340, 70.26, 24
1.585, 58.20, 21
1.772, 51.57, 21
1.182, 81.46, 12
1.121, 86.91, 9
1.447, 64.38, 7
5.788, 15.31, 6